(1)
For Li9Mn2Co5O16, a DFT-relaxed cell (GGA+U, the Materials Project) gives the calculated powder diffractogram in this record (Cu Kα).
Neutral-atom scattering factors, no anomalous dispersion.

a = 5.7855 Å, b = 6.5942 Å, c = 7.7083 Å
α = 89.72°, β = 79.37°, γ = 77.30°
Element x y z (fractional)
Li (0.0000, 0.0000, 0.0000)
Li (0.0040, 0.5029, 0.5140)
Li (0.1229, 0.8838, 0.6371)
Li (0.2400, 0.2494, 0.7634)
Li (0.2490, 0.7573, 0.2667)
Li (0.4870, 0.5127, 0.5127)
Li (0.4999, 0.0027, 0.0089)
Li (0.7433, 0.7605, 0.2609)
Li (0.7567, 0.2446, 0.7666)
Mn (0.6189, 0.8819, 0.6354)
Mn (0.8780, 0.1234, 0.3901)
Co (0.1236, 0.3810, 0.1357)
Co (0.3655, 0.6391, 0.8820)
Co (0.3716, 0.1257, 0.3893)
Co (0.6219, 0.3747, 0.1342)
Co (0.8768, 0.6384, 0.8813)
O (0.0626, 0.1889, 0.5524)
O (0.0631, 0.6819, 0.0720)
O (0.1777, 0.0715, 0.2215)
O (0.1816, 0.5650, 0.7178)
O (0.3167, 0.4155, 0.3203)
O (0.3295, 0.9346, 0.8143)
O (0.4311, 0.3251, 0.9624)
O (0.4404, 0.8388, 0.4568)
O (0.5676, 0.6775, 0.0607)
O (0.5705, 0.1714, 0.5613)
O (0.6779, 0.0756, 0.2189)
O (0.6784, 0.5949, 0.6932)
O (0.7989, 0.9333, 0.8141)
O (0.8156, 0.4139, 0.3180)
O (0.9148, 0.8403, 0.4556)
O (0.9316, 0.3228, 0.9599)

Principal peaks in the range 5 to 70 degrees two-theta, low angle first:
d 4.812, 18.4°, rel. 100
d 2.497, 36.0°, rel. 14
d 2.082, 43.5°, rel. 28
d 2.059, 44.0°, rel. 27
d 2.053, 44.1°, rel. 27
d 1.469, 63.3°, rel. 15

***

(2)
For Gd2GeMoO8, a DFT-relaxed cell (GGA+U, the Materials Project) gives the calculated powder diffractogram in this record (Cu Kα).
Neutral-atom scattering factors, no anomalous dispersion.

a = 6.7386 Å, b = 6.7386 Å, c = 6.7386 Å
α = 134.64°, β = 134.64°, γ = 66.09°
Element x y z (fractional)
Gd (0.0000, 0.0000, 0.0000)
Gd (0.7500, 0.2500, 0.5000)
Ge (0.5000, 0.5000, 0.0000)
Mo (0.2500, 0.7500, 0.5000)
O (0.0159, 0.4103, 0.0882)
O (0.0723, 0.9841, 0.3944)
O (0.1717, 0.5785, 0.9209)
O (0.3220, 0.9277, 0.9118)
O (0.4215, 0.3424, 0.5932)
O (0.5897, 0.6780, 0.6056)
O (0.6576, 0.2508, 0.0791)
O (0.7492, 0.8283, 0.4068)

Principal peaks in the range 5 to 70 degrees two-theta, low angle first:
d 3.080, 29.0°, rel. 100
d 2.824, 31.7°, rel. 15
d 2.598, 34.5°, rel. 20
d 1.912, 47.6°, rel. 30
d 1.676, 54.8°, rel. 17
d 1.578, 58.5°, rel. 27

***

(3)
For BaLaNdMn3O9, a DFT-relaxed cell (GGA+U, the Materials Project) gives the calculated powder diffractogram in this record (Cu Kα).
Neutral-atom scattering factors, no anomalous dispersion.

a = 5.6232 Å, b = 5.6232 Å, c = 13.5403 Å
α = 90.00°, β = 90.00°, γ = 120.00°
Element x y z (fractional)
Ba (0.0000, 0.0000, 0.0000)
Ba (0.0000, 0.0000, 0.5000)
La (0.3333, 0.6667, 0.3316)
La (0.6667, 0.3333, 0.6684)
Nd (0.3333, 0.6667, 0.8314)
Nd (0.6667, 0.3333, 0.1686)
Mn (0.0000, 0.0000, 0.2491)
Mn (0.0000, 0.0000, 0.7509)
Mn (0.3333, 0.6667, 0.0829)
Mn (0.3333, 0.6667, 0.5835)
Mn (0.6667, 0.3333, 0.4165)
Mn (0.6667, 0.3333, 0.9171)
O (0.0000, 0.4754, 0.0000)
O (0.0000, 0.5224, 0.5000)
O (0.1040, 0.7618, 0.1729)
O (0.1119, 0.3431, 0.6746)
O (0.2312, 0.8881, 0.6746)
O (0.2382, 0.3422, 0.1729)
O (0.3422, 0.2382, 0.8271)
O (0.3431, 0.1119, 0.3254)
O (0.4754, 0.0000, 0.0000)
O (0.4776, 0.4776, 0.5000)
O (0.5224, 0.0000, 0.5000)
O (0.5246, 0.5246, 0.0000)
O (0.6569, 0.7688, 0.6746)
O (0.6578, 0.8960, 0.1729)
O (0.7618, 0.1040, 0.8271)
O (0.7688, 0.6569, 0.3254)
O (0.8881, 0.2312, 0.3254)
O (0.8960, 0.6578, 0.8271)

Principal peaks in the range 5 to 70 degrees two-theta, low angle first:
d 3.953, 22.5°, rel. 32
d 2.812, 31.8°, rel. 99
d 2.780, 32.2°, rel. 100
d 2.291, 39.3°, rel. 27
d 1.977, 45.9°, rel. 62
d 1.617, 56.9°, rel. 40

***

(4)
For Li4VCr3O8, a DFT-relaxed cell (GGA+U, the Materials Project) gives the calculated powder diffractogram in this record (Cu Kα).
Neutral-atom scattering factors, no anomalous dispersion.

a = 5.1394 Å, b = 5.9615 Å, c = 10.7067 Å
α = 98.11°, β = 103.69°, γ = 106.91°
Element x y z (fractional)
Li (0.1254, 0.1870, 0.1247)
Li (0.1280, 0.6889, 0.1249)
Li (0.3721, 0.0610, 0.3750)
Li (0.3744, 0.5631, 0.3754)
Li (0.6256, 0.4369, 0.6246)
Li (0.6279, 0.9390, 0.6250)
Li (0.8720, 0.3111, 0.8751)
Li (0.8746, 0.8130, 0.8753)
V (0.2499, 0.6249, 0.7499)
V (0.7501, 0.3751, 0.2501)
Cr (0.0004, 0.2494, 0.5001)
Cr (0.9996, 0.7506, 0.4999)
Cr (0.2500, 0.1250, 0.7501)
Cr (0.5000, 0.0000, 0.0000)
Cr (0.5000, 0.5000, 0.0000)
Cr (0.7500, 0.8750, 0.2499)
O (0.0414, 0.7160, 0.3144)
O (0.0438, 0.2115, 0.3153)
O (0.2099, 0.6611, 0.9362)
O (0.2112, 0.1611, 0.9361)
O (0.2891, 0.0885, 0.5645)
O (0.2898, 0.5892, 0.5632)
O (0.4563, 0.5384, 0.1849)
O (0.4587, 0.0343, 0.1854)
O (0.5413, 0.9657, 0.8146)
O (0.5437, 0.4616, 0.8151)
O (0.7102, 0.4108, 0.4368)
O (0.7109, 0.9115, 0.4355)
O (0.7888, 0.8389, 0.0639)
O (0.7901, 0.3389, 0.0638)
O (0.9562, 0.7885, 0.6847)
O (0.9586, 0.2840, 0.6856)

Principal peaks in the range 5 to 70 degrees two-theta, low angle first:
d 4.840, 18.3°, rel. 100
d 2.540, 35.3°, rel. 27
d 2.103, 43.0°, rel. 57
d 2.098, 43.1°, rel. 28
d 1.489, 62.3°, rel. 16
d 1.484, 62.6°, rel. 30

***

(5)
For Mn5NiP6O24, a DFT-relaxed cell (GGA+U, the Materials Project) gives the calculated powder diffractogram in this record (Cu Kα).
Neutral-atom scattering factors, no anomalous dispersion.

a = 8.5851 Å, b = 8.5851 Å, c = 8.5851 Å
α = 59.83°, β = 59.83°, γ = 59.83°
Element x y z (fractional)
Mn (0.0000, 0.0000, 0.0000)
Mn (0.1424, 0.1424, 0.1424)
Mn (0.3561, 0.3561, 0.3561)
Mn (0.5028, 0.5028, 0.5028)
Mn (0.8555, 0.8555, 0.8555)
Ni (0.6421, 0.6421, 0.6421)
P (0.0398, 0.4594, 0.7483)
P (0.2478, 0.9597, 0.5363)
P (0.4594, 0.7483, 0.0398)
P (0.5363, 0.2478, 0.9597)
P (0.7483, 0.0398, 0.4594)
P (0.9597, 0.5363, 0.2478)
O (0.0105, 0.6214, 0.8018)
O (0.0617, 0.2617, 0.9185)
O (0.0764, 0.9487, 0.7331)
O (0.1203, 0.5082, 0.3019)
O (0.1890, 0.9981, 0.3749)
O (0.2406, 0.4419, 0.5833)
O (0.2617, 0.9185, 0.0617)
O (0.3019, 0.1203, 0.5082)
O (0.3749, 0.1890, 0.9981)
O (0.4073, 0.7648, 0.5540)
O (0.4419, 0.5832, 0.2406)
O (0.4829, 0.6955, 0.8862)
O (0.5082, 0.3019, 0.1203)
O (0.5540, 0.4073, 0.7648)
O (0.5833, 0.2406, 0.4419)
O (0.6214, 0.8018, 0.0105)
O (0.6955, 0.8862, 0.4829)
O (0.7331, 0.0764, 0.9487)
O (0.7648, 0.5540, 0.4073)
O (0.8018, 0.0105, 0.6214)
O (0.8862, 0.4829, 0.6955)
O (0.9185, 0.0617, 0.2617)
O (0.9487, 0.7331, 0.0764)
O (0.9981, 0.3749, 0.1890)

Principal peaks in the range 5 to 70 degrees two-theta, low angle first:
d 4.283, 20.7°, rel. 100
d 3.655, 24.4°, rel. 98
d 2.714, 33.0°, rel. 75
d 2.472, 36.3°, rel. 36
d 1.919, 47.4°, rel. 32
d 1.619, 56.9°, rel. 42

***

(6)
For LiV5O10, a DFT-relaxed cell (GGA+U, the Materials Project) gives the calculated powder diffractogram in this record (Cu Kα).
Neutral-atom scattering factors, no anomalous dispersion.

a = 7.4004 Å, b = 7.4004 Å, c = 5.5106 Å
α = 99.66°, β = 99.66°, γ = 138.29°
Element x y z (fractional)
Li (0.0000, 0.0000, 0.0000)
V (0.0907, 0.9093, 0.5000)
V (0.3897, 0.6103, 0.0000)
V (0.4740, 0.5260, 0.5000)
V (0.6943, 0.3057, 0.5000)
V (0.7777, 0.2223, 0.0000)
O (0.0042, 0.4308, 0.8067)
O (0.1645, 0.3900, 0.2081)
O (0.2634, 0.2993, 0.7196)
O (0.3139, 0.1537, 0.3072)
O (0.4597, 0.0891, 0.7149)
O (0.5692, 0.9958, 0.1933)
O (0.6100, 0.8355, 0.7919)
O (0.7007, 0.7366, 0.2804)
O (0.8463, 0.6861, 0.6928)
O (0.9109, 0.5403, 0.2851)

Principal peaks in the range 5 to 70 degrees two-theta, low angle first:
d 4.406, 20.2°, rel. 19
d 3.977, 22.4°, rel. 100
d 3.273, 27.2°, rel. 80
d 2.309, 39.0°, rel. 45
d 1.957, 46.4°, rel. 65
d 1.467, 63.4°, rel. 20

***

(7)
For K2MoO2F5, a DFT-relaxed cell (GGA+U, the Materials Project) gives the calculated powder diffractogram in this record (Cu Kα).
Neutral-atom scattering factors, no anomalous dispersion.

a = 6.3325 Å, b = 6.3325 Å, c = 9.6127 Å
α = 95.20°, β = 95.20°, γ = 90.08°
Element x y z (fractional)
K (0.2437, 0.7563, 0.0000)
K (0.2980, 0.2980, 0.2987)
K (0.7020, 0.7020, 0.7013)
K (0.7563, 0.2437, 0.0000)
Mo (0.2188, 0.2188, 0.7639)
Mo (0.7812, 0.7812, 0.2361)
O (0.2142, 0.2142, 0.5841)
O (0.3027, 0.6973, 0.5000)
O (0.6973, 0.3027, 0.5000)
O (0.7858, 0.7858, 0.4159)
F (0.0013, 0.0013, 0.2248)
F (0.0037, 0.4431, 0.7949)
F (0.2268, 0.2268, 0.9813)
F (0.4431, 0.0037, 0.7949)
F (0.4427, 0.4427, 0.8144)
F (0.5573, 0.5573, 0.1856)
F (0.5569, 0.9963, 0.2051)
F (0.7732, 0.7732, 0.0187)
F (0.9963, 0.5569, 0.2051)
F (0.9987, 0.9987, 0.7752)

Principal peaks in the range 5 to 70 degrees two-theta, low angle first:
d 5.495, 16.1°, rel. 78
d 5.052, 17.6°, rel. 98
d 4.481, 19.8°, rel. 70
d 3.478, 25.6°, rel. 66
d 3.265, 27.3°, rel. 100
d 3.153, 28.3°, rel. 74